# SmCrS3
Simulated powder X-ray diffraction pattern, Cu Kα (λ = 1.5418 Å). Input: a cell relaxed with GGA-PBE.

Structural model:
Unit cell a=7.795 b=3.762 c=12.902 alpha=90.00 beta=90.00 gamma=90.00
Space group Pnma (No. 62)
Asymmetric unit:
Sm: 0.086 0.250 0.173 [4 per cell]
Cr: 0.164 0.750 0.450 [4 per cell]
S: 0.008 0.750 0.607 [4 per cell]
S: 0.157 0.750 0.008 [4 per cell]
S: 0.194 0.250 0.786 [4 per cell]

Most intense lines, 2θ = 15–90°, sorted by position:
h k l, Position (°2θ), Rel. int.
1 0 3, 23.63, 78
2 0 1, 23.85, 65
0 1 1, 24.65, 52
1 1 2, 29.79, 43
1 1 3, 33.68, 42
2 1 1, 33.84, 61
2 1 2, 35.98, 100
1 0 5, 36.69, 37
0 1 5, 42.48, 45
0 2 0, 48.39, 38

---

# TbGe2Ir2
Simulated powder X-ray diffraction pattern, Cu Kα (λ = 1.5418 Å). Input: a cell relaxed with GGA-PBE.

Structural model:
Unit cell a=4.217 b=4.217 c=10.200 alpha=90.00 beta=90.00 gamma=90.00
Space group P4/nmm (No. 129, origin choice 2)
Asymmetric unit:
Tb: 0.250 0.250 0.244 [2 per cell]
Ge: 0.250 0.250 0.632 [2 per cell]
Ge: 0.250 0.750 0.000 [2 per cell]
Ir: 0.250 0.250 0.869 [2 per cell]
Ir: 0.250 0.750 0.500 [2 per cell]

Most intense lines, 2θ = 15–90°, sorted by position:
h k l, Position (°2θ), Rel. int.
1 1 1, 31.25, 26
1 0 3, 33.87, 57
1 1 2, 34.85, 100
2 0 0, 42.89, 68
1 1 4, 46.88, 31
1 0 5, 49.64, 26
2 1 3, 55.74, 28
2 2 0, 62.27, 23
2 1 5, 67.65, 21
3 1 2, 73.39, 23